[1]
PrPd2Au6: theoretical X-ray diffraction stick pattern (Cu Kα (weighted mean of Kα1 and Kα2)), based on a PBE-relaxed structure.
Neutral-atom scattering factors, no anomalous dispersion.

Structure:
Unit cell a=5.5844 b=5.5844 c=7.5684 alpha=90.00 beta=90.00 gamma=120.00
Space group P6/mmm (No. 191)
One atom of each set of equivalent atoms:
Pr (0.0000, 0.0000, 0.0000) [1 per cell]
Pd (0.3333, 0.6667, 0.5000) [2 per cell]
Au (0.0000, 0.5000, 0.2024) [6 per cell]

Peak list (10 most intense, 5° ≤ 2θ ≤ 70°, in order of falling intensity)
hkl	Position (°2θ)	intensity
2 0 0	37.18	1000
2 0 2	44.46	735
1 1 2	40.13	508
1 0 0	18.34	497
2 0 1	39.11	418
1 0 3	40.32	334
1 0 2	29.98	305
2 2 0	67.03	289
0 0 2	23.51	270
0 0 3	35.59	253

***

[2]
Zn4CoAu: theoretical X-ray diffraction stick pattern (Cu Kα (weighted mean of Kα1 and Kα2)), based on a PBE-relaxed structure.
Neutral-atom scattering factors, no anomalous dispersion.

Structure:
Unit cell a=2.6926 b=4.2425 c=7.5686 alpha=90.00 beta=90.00 gamma=90.00
Space group Pmmm (No. 47)
One atom of each set of equivalent atoms:
Zn (0.0000, 0.0000, 0.1556) [2 per cell]
Zn (0.0000, 0.5000, 0.3200) [2 per cell]
Co (0.5000, 0.5000, 0.0000) [1 per cell]
Au (0.5000, 0.0000, 0.5000) [1 per cell]

Peak list (10 most intense, 5° ≤ 2θ ≤ 70°, in order of falling intensity)
hkl	Position (°2θ)	intensity
1 1 1	41.47	1000
0 1 3	41.65	889
1 0 2	41.14	522
0 2 0	42.62	428
0 0 1	11.69	396
1 2 2	60.73	322
0 1 2	31.68	193
0 1 1	24.05	180
0 1 0	20.94	157
1 0 4	59.73	157

***

[3]
Hg2TeH3: theoretical X-ray diffraction stick pattern (Cu Kα (weighted mean of Kα1 and Kα2)), based on a PBE-relaxed structure.
Neutral-atom scattering factors, no anomalous dispersion.

Structure:
Unit cell a=3.7947 b=6.5825 c=9.4420 alpha=71.95 beta=87.38 gamma=85.81
Space group P-1 (No. 2)
One atom of each set of equivalent atoms:
Hg (0.0158, 0.2507, 0.0812) [2 per cell]
Hg (0.0190, 0.7509, 0.5860) [2 per cell]
Te (0.0070, 0.7508, 0.2517) [2 per cell]
H (0.4266, 0.1761, 0.7291) [2 per cell]
H (0.4858, 0.2344, 0.4089) [2 per cell]
H (0.4887, 0.7344, 0.9129) [2 per cell]

Peak list (10 most intense, 5° ≤ 2θ ≤ 70°, in order of falling intensity)
hkl	Position (°2θ)	intensity
1 0 0	23.51	1000
0 2 0	28.58	650
0 1 3	28.85	633
1 2 0	36.14	340
1 1 3	36.47	332
0 1 -3	37.10	328
1 -2 0	38.50	286
-1 1 3	38.60	284
1 1 -3	44.30	193
0 3 3	44.73	193

***

[4]
Ca8Ac2La: theoretical X-ray diffraction stick pattern (Cu Kα (weighted mean of Kα1 and Kα2)), based on a PBE-relaxed structure.
Neutral-atom scattering factors, no anomalous dispersion.

Structure:
Unit cell a=7.3526 b=7.3526 c=10.1277 alpha=90.00 beta=90.00 gamma=120.00
Space group P-3m1 (No. 164)
One atom of each set of equivalent atoms:
Ca (0.1645, 0.3290, 0.1962) [6 per cell]
Ca (0.3333, 0.6667, 0.9018) [2 per cell]
Ac (0.3333, 0.6667, 0.5280) [2 per cell]
La (0.0000, 0.0000, 0.5000) [1 per cell]

Peak list (10 most intense, 5° ≤ 2θ ≤ 70°, in order of falling intensity)
hkl	Position (°2θ)	intensity
1 1 2	30.02	1000
0 0 1	8.73	846
1 1 1	25.78	803
1 1 0	24.21	560
0 3 2	46.37	359
1 1 3	36.12	267
0 0 3	26.40	264
0 2 1	29.41	214
3 0 1	43.57	204
2 2 0	49.59	201

***

[5]
CsTcSnHgAs: theoretical X-ray diffraction stick pattern (Cu Kα (weighted mean of Kα1 and Kα2)), based on a PBE-relaxed structure.
Neutral-atom scattering factors, no anomalous dispersion.

Structure:
Unit cell a=4.7698 b=5.0989 c=12.8125 alpha=90.00 beta=90.00 gamma=90.00
Space group Amm2 (No. 38)
One atom of each set of equivalent atoms:
Cs (0.0000, 0.0000, 0.0000) [2 per cell]
Tc (0.5000, 0.0000, 0.2836) [2 per cell]
Sn (0.5000, 0.0000, 0.7203) [2 per cell]
Hg (0.5000, 0.0000, 0.4929) [2 per cell]
As (0.0000, 0.0000, 0.2824) [2 per cell]

Peak list (10 most intense, 5° ≤ 2θ ≤ 70°, in order of falling intensity)
hkl	Position (°2θ)	intensity
1 1 1	26.52	1000
0 0 4	27.85	470
1 1 5	43.86	381
0 2 0	35.20	351
1 1 3	33.19	307
2 0 0	37.72	291
0 2 4	45.47	249
2 2 0	52.54	224
2 0 4	47.53	219
2 2 4	60.51	214